# 1
# Ca3AcSe4
Simulated powder X-ray diffraction pattern, Cu Ka. Input: a structure optimized by DFT (GGA-PBE).
Lines closer than 0.1° are merged.

Structural model:
Cell lengths 4.2448, 4.2448, 28.6230 Å; angles 90.00, 90.00, 120.00 degrees
Element x y z (fractional)
1 Ca 0.0000 0.0000 0.0000
2 Ca 0.0000 0.0000 0.5000
3 Ca 0.3333 0.6667 0.1192
4 Ca 0.3333 0.6667 0.3808
5 Ca 0.6667 0.3333 0.6192
6 Ca 0.6667 0.3333 0.8808
7 Ac 0.3333 0.6667 0.7500
8 Ac 0.6667 0.3333 0.2500
9 Se 0.0000 0.0000 0.1786
10 Se 0.0000 0.0000 0.3214
11 Se 0.0000 0.0000 0.6786
12 Se 0.0000 0.0000 0.8214
13 Se 0.3333 0.6667 0.5598
14 Se 0.3333 0.6667 0.9402
15 Se 0.6667 0.3333 0.0598
16 Se 0.6667 0.3333 0.4402

Principal peaks in the range 2θ from 10° to 90°, in order of rising 2θ:
Position (°2θ), I (rel.)
12.37, 19.3
24.41, 40.8
28.86, 100.0
30.70, 81.5
39.92, 17.9
42.59, 94.1
52.27, 19.0
53.42, 16.7
68.61, 21.3
69.63, 16.1
70.61, 17.0
77.95, 27.3



# 2
# Nb5CuSe8
Simulated powder X-ray diffraction pattern, Cu Ka. Input: a structure optimized by DFT (GGA-PBE).
Lines closer than 0.1° are merged.

Structural model:
Cell lengths 7.6693, 7.6693, 7.6693 Å; angles 60.00, 60.00, 60.00 degrees
Element x y z (fractional)
1 Nb 0.0000 0.0000 0.0000
2 Nb 0.3972 0.3972 0.3972
3 Nb 0.3972 0.3972 0.8083
4 Nb 0.3972 0.8083 0.3972
5 Nb 0.8083 0.3972 0.3972
6 Cu 0.7500 0.7500 0.7500
7 Se 0.1158 0.6281 0.6281
8 Se 0.1358 0.1358 0.1358
9 Se 0.1358 0.1358 0.5926
10 Se 0.1358 0.5926 0.1358
11 Se 0.5926 0.1358 0.1358
12 Se 0.6281 0.1158 0.6281
13 Se 0.6281 0.6281 0.1158
14 Se 0.6281 0.6281 0.6281

Principal peaks in the range 2θ from 10° to 90°, in order of rising 2θ:
Position (°2θ), I (rel.)
14.14, 19.5
23.20, 25.7
27.27, 58.3
28.51, 21.1
33.04, 78.2
40.76, 29.8
43.35, 46.0
47.42, 100.0
56.26, 14.6
64.27, 16.3
74.19, 18.7
88.28, 22.4



# 3
# YTl3Pt8
Simulated powder X-ray diffraction pattern, Cu Ka. Input: a structure optimized by DFT (GGA-PBE).
Lines closer than 0.1° are merged.

Structural model:
Cell lengths 9.4170, 9.4170, 9.4170 Å; angles 33.75, 33.75, 33.75 degrees
Element x y z (fractional)
1 Y 0.0000 0.0000 0.0000
2 Tl 0.1270 0.1270 0.1270
3 Tl 0.4980 0.4980 0.4980
4 Tl 0.6209 0.6209 0.6209
5 Pt 0.0586 0.5617 0.5617
6 Pt 0.0628 0.0628 0.5643
7 Pt 0.0628 0.5643 0.0628
8 Pt 0.3120 0.3120 0.3120
9 Pt 0.5617 0.0586 0.5617
10 Pt 0.5617 0.5617 0.0586
11 Pt 0.5643 0.0628 0.0628
12 Pt 0.8119 0.8119 0.8119

Principal peaks in the range 2θ from 10° to 90°, in order of rising 2θ:
Position (°2θ), I (rel.)
19.90, 9.3
32.76, 15.7
32.90, 15.2
38.67, 100.0
38.81, 32.5
40.44, 44.1
40.68, 14.4
62.45, 17.4
62.54, 16.3
68.66, 19.7
69.00, 18.9
82.98, 11.5



# 4
# Sc8SnPb5
Simulated powder X-ray diffraction pattern, Cu Ka. Input: a structure optimized by DFT (GGA-PBE).
Lines closer than 0.1° are merged.

Structural model:
Cell lengths 7.6726, 7.6726, 7.6726 Å; angles 109.47, 109.47, 109.48 degrees
Element x y z (fractional)
1 Sc 0.1212 0.7235 0.7486
2 Sc 0.1232 0.2297 0.7479
3 Sc 0.2765 0.0251 0.3977
4 Sc 0.4817 0.3753 0.2521
5 Sc 0.6247 0.8768 0.1064
6 Sc 0.6274 0.8788 0.6023
7 Sc 0.7703 0.5183 0.8936
8 Sc 0.9749 0.3726 0.2514
9 Sn 0.7500 0.2500 0.5000
10 Pb 0.0000 0.0000 0.0000
11 Pb 0.2490 0.6235 0.1260
12 Pb 0.3765 0.5025 0.6254
13 Pb 0.4975 0.1229 0.8740
14 Pb 0.8771 0.7510 0.3746

Principal peaks in the range 2θ from 10° to 90°, in order of rising 2θ:
Position (°2θ), I (rel.)
24.61, 100.0
31.94, 98.0
38.00, 61.9
45.80, 42.1
48.18, 27.6
50.46, 9.1
52.68, 33.6
56.93, 9.2
64.88, 40.3
68.66, 16.1
77.73, 9.4
79.50, 29.8



# 5
# RbZnIn2Br
Simulated powder X-ray diffraction pattern, Cu Ka. Input: a structure optimized by DFT (GGA-PBE).
Lines closer than 0.1° are merged.

Structural model:
Cell lengths 5.1556, 5.1556, 7.5424 Å; angles 90.00, 90.00, 90.00 degrees
Element x y z (fractional)
1 Rb 0.0000 0.0000 0.0000
2 Zn 0.0000 0.0000 0.5000
3 In 0.0000 0.5000 0.5000
4 In 0.5000 0.0000 0.5000
5 Br 0.5000 0.5000 0.0000

Principal peaks in the range 2θ from 10° to 90°, in order of rising 2θ:
Position (°2θ), I (rel.)
11.73, 28.8
23.59, 73.0
27.17, 100.0
34.80, 53.2
42.48, 60.3
43.74, 26.9
50.04, 18.4
56.04, 26.0
57.87, 23.1
60.87, 20.1
68.61, 13.8
88.74, 14.4



# 6
# Sr4Tl2Hg
Simulated powder X-ray diffraction pattern, Cu Ka. Input: a structure optimized by DFT (GGA-PBE).
Lines closer than 0.1° are merged.

Structural model:
Cell lengths 9.2982, 9.2982, 9.2982 Å; angles 141.04, 141.04, 56.28 degrees
Element x y z (fractional)
1 Sr 0.0000 0.5000 0.5000
2 Sr 0.1969 0.1969 0.0000
3 Sr 0.5000 0.0000 0.5000
4 Sr 0.8031 0.8031 0.0000
5 Tl 0.3983 0.3983 0.0000
6 Tl 0.6017 0.6017 0.0000
7 Hg 0.0000 0.0000 0.0000

Principal peaks in the range 2θ from 10° to 90°, in order of rising 2θ:
Position (°2θ), I (rel.)
10.79, 47.6
20.25, 68.7
28.79, 74.8
30.84, 100.0
41.17, 30.5
42.69, 76.0
46.30, 16.5
52.31, 19.6
60.81, 27.6
64.25, 16.8
68.65, 21.3
83.29, 16.7



# 7
# CaEr2TlO6
Simulated powder X-ray diffraction pattern, Cu Ka. Input: a structure optimized by DFT (GGA-PBE).
Lines closer than 0.1° are merged.

Structural model:
Cell lengths 6.1113, 6.1113, 6.1113 Å; angles 56.62, 56.62, 56.62 degrees
Element x y z (fractional)
1 Ca 0.0000 0.0000 0.0000
2 Er 0.2159 0.2159 0.2159
3 Er 0.7173 0.7173 0.7173
4 Tl 0.5046 0.5046 0.5046
5 O 0.1077 0.4154 0.8202
6 O 0.3382 0.9165 0.5899
7 O 0.4154 0.8202 0.1077
8 O 0.5899 0.3382 0.9165
9 O 0.8202 0.1077 0.4154
10 O 0.9165 0.5899 0.3382

Principal peaks in the range 2θ from 10° to 90°, in order of rising 2θ:
Position (°2θ), I (rel.)
18.60, 29.3
21.15, 27.8
29.31, 100.0
30.85, 97.9
35.61, 15.7
43.07, 41.3
47.42, 37.8
53.91, 40.6
54.86, 28.8
63.40, 13.3
72.17, 23.0
80.51, 13.9



# 8
# AcBe4Pt3O12
Simulated powder X-ray diffraction pattern, Cu Ka. Input: a structure optimized by DFT (GGA-PBE).
Lines closer than 0.1° are merged.

Structural model:
Cell lengths 6.3836, 6.3836, 6.3836 Å; angles 104.82, 104.82, 104.82 degrees
Element x y z (fractional)
1 Ac 0.0000 0.0000 0.0000
2 Be 0.0739 0.5000 0.9261
3 Be 0.5000 0.5000 0.5000
4 Be 0.5000 0.9261 0.0739
5 Be 0.9261 0.0739 0.5000
6 Pt 0.0000 0.5668 0.4332
7 Pt 0.4332 0.0000 0.5668
8 Pt 0.5668 0.4332 0.0000
9 O 0.0381 0.6384 0.7659
10 O 0.0831 0.9169 0.5000
11 O 0.2341 0.3617 0.9619
12 O 0.3449 0.6551 0.5000
13 O 0.3617 0.9619 0.2341
14 O 0.5000 0.0831 0.9169
15 O 0.5000 0.3449 0.6551
16 O 0.6384 0.7659 0.0381
17 O 0.6551 0.5000 0.3449
18 O 0.7659 0.0381 0.6384
19 O 0.9169 0.5000 0.0831
20 O 0.9619 0.2341 0.3617

Principal peaks in the range 2θ from 10° to 90°, in order of rising 2θ:
Position (°2θ), I (rel.)
17.53, 42.4
23.34, 100.0
29.34, 24.1
30.86, 65.4
35.49, 17.3
38.85, 17.8
44.02, 29.2
46.70, 13.3
50.58, 15.3
51.71, 14.6
66.67, 13.3
77.47, 13.2



# 9
# Dy2Ag4Te5
Simulated powder X-ray diffraction pattern, Cu Ka. Input: a structure optimized by DFT (GGA-PBE).
Lines closer than 0.1° are merged.

Structural model:
Cell lengths 19.2888, 19.2888, 19.2888 Å; angles 13.26, 13.26, 13.26 degrees
Element x y z (fractional)
1 Dy 0.1359 0.1359 0.1359
2 Dy 0.8641 0.8641 0.8641
3 Ag 0.3160 0.3160 0.3160
4 Ag 0.4154 0.4154 0.4154
5 Ag 0.5846 0.5846 0.5846
6 Ag 0.6840 0.6840 0.6840
7 Te 0.2280 0.2280 0.2280
8 Te 0.3679 0.3679 0.3679
9 Te 0.5000 0.5000 0.5000
10 Te 0.6321 0.6321 0.6321
11 Te 0.7720 0.7720 0.7720

Principal peaks in the range 2θ from 10° to 90°, in order of rising 2θ:
Position (°2θ), I (rel.)
23.11, 25.0
23.89, 25.9
26.23, 28.3
28.79, 100.0
31.86, 25.4
40.50, 98.3
41.82, 73.0
50.45, 20.7
59.63, 25.1
66.58, 22.8
73.67, 16.3
74.57, 25.7



# 10
# UTlAg2O5
Simulated powder X-ray diffraction pattern, Cu Ka. Input: a structure optimized by DFT (GGA-PBE).
Lines closer than 0.1° are merged.

Structural model:
Cell lengths 6.6009, 6.6009, 6.6009 Å; angles 140.47, 123.49, 71.15 degrees
Element x y z (fractional)
1 U 0.0000 0.0000 0.0000
2 Tl 0.5000 0.5000 0.0000
3 Ag 0.2372 0.7372 0.5000
4 Ag 0.7628 0.2628 0.5000
5 O 0.0000 0.5000 0.5000
6 O 0.0851 0.8634 0.2217
7 O 0.3582 0.1366 0.2217
8 O 0.6418 0.8634 0.7783
9 O 0.9149 0.1366 0.7783

Principal peaks in the range 2θ from 10° to 90°, in order of rising 2θ:
Position (°2θ), I (rel.)
16.51, 10.7
28.56, 25.3
29.69, 100.0
33.38, 16.3
40.41, 14.8
44.49, 21.2
50.23, 11.0
51.30, 22.5
53.38, 8.8
57.40, 15.0
61.66, 16.1
66.96, 11.0



# 11
# TlCd2
Simulated powder X-ray diffraction pattern, Cu Ka. Input: a structure optimized by DFT (GGA-PBE).
Lines closer than 0.1° are merged.

Structural model:
Cell lengths 4.2209, 4.2209, 4.9961 Å; angles 90.00, 90.00, 90.00 degrees
Element x y z (fractional)
1 Tl 0.0000 0.0000 0.0000
2 Cd 0.0000 0.5000 0.5000
3 Cd 0.5000 0.0000 0.5000

Principal peaks in the range 2θ from 10° to 90°, in order of rising 2θ:
Position (°2θ), I (rel.)
21.05, 38.4
27.67, 39.5
35.02, 100.0
35.95, 23.3
42.03, 13.1
42.85, 28.4
51.77, 14.5
57.14, 24.0
62.21, 9.2
64.02, 16.9
73.43, 22.6
73.99, 11.1



# 12
# YTa2VC4
Simulated powder X-ray diffraction pattern, Cu Ka. Input: a structure optimized by DFT (GGA-PBE).
Lines closer than 0.1° are merged.

Structural model:
Cell lengths 5.8012, 5.8012, 11.1973 Å; angles 90.00, 90.00, 147.85 degrees
Element x y z (fractional)
1 Y 0.1100 0.8900 0.7500
2 Y 0.8900 0.1100 0.2500
3 Ta 0.3696 0.6304 0.5399
4 Ta 0.3696 0.6304 0.9601
5 Ta 0.6304 0.3696 0.0399
6 Ta 0.6304 0.3696 0.4601
7 V 0.1594 0.8406 0.2500
8 V 0.8406 0.1594 0.7500
9 C 0.0000 0.0000 0.0000
10 C 0.0000 0.0000 0.5000
11 C 0.2622 0.7378 0.1143
12 C 0.2622 0.7378 0.3857
13 C 0.4404 0.5596 0.7500
14 C 0.5596 0.4404 0.2500
15 C 0.7378 0.2622 0.6143
16 C 0.7378 0.2622 0.8857

Principal peaks in the range 2θ from 10° to 90°, in order of rising 2θ:
Position (°2θ), I (rel.)
15.83, 50.8
28.79, 63.2
31.97, 35.6
32.11, 60.2
33.14, 100.0
37.85, 34.6
40.46, 82.7
43.56, 25.6
45.95, 22.9
50.34, 27.3
52.57, 20.9
55.86, 36.6



# 13
# PmPuH8Pd2
Simulated powder X-ray diffraction pattern, Cu Ka. Input: a structure optimized by DFT (GGA-PBE).
Lines closer than 0.1° are merged.

Structural model:
Cell lengths 6.8371, 6.8371, 6.8371 Å; angles 39.94, 39.94, 39.94 degrees
Element x y z (fractional)
1 Pm 0.0000 0.0000 0.0000
2 Pu 0.5000 0.5000 0.5000
3 H 0.1185 0.5288 0.5288
4 H 0.1437 0.1437 0.1437
5 H 0.4712 0.4712 0.8815
6 H 0.4712 0.8815 0.4712
7 H 0.5288 0.1185 0.5288
8 H 0.5288 0.5288 0.1185
9 H 0.8563 0.8563 0.8563
10 H 0.8815 0.4712 0.4712
11 Pd 0.2386 0.2386 0.2386
12 Pd 0.7614 0.7614 0.7614

Principal peaks in the range 2θ from 10° to 90°, in order of rising 2θ:
Position (°2θ), I (rel.)
14.10, 8.7
23.94, 12.2
29.10, 100.0
38.55, 49.8
44.50, 29.9
49.02, 24.2
60.31, 11.9
64.03, 21.9
69.75, 8.7
72.53, 12.0
73.90, 13.2
89.89, 9.1